# 1
This entry pairs a crystal structure of Sm4SnSe5 with its theoretical powder diffraction line list. Radiation: Cu Kα, 1.54184 Å. Structure: a DFT-relaxed cell (PBE, Alexandria).

Cell: 4.2073 4.2073 51.5980 Å, 90.00 90.00 120.00°
Space group R-3m (No. 166, hexagonal axes)
Asymmetric unit:
1 Sm 0.0000 0.0000 0.0958 (multiplicity 6)
2 Sm 0.0000 0.0000 0.2996 (multiplicity 6)
3 Sn 0.0000 0.0000 0.5000 (multiplicity 3)
4 Se 0.0000 0.0000 0.0000 (multiplicity 3)
5 Se 0.0000 0.0000 0.2018 (multiplicity 6)
6 Se 0.0000 0.0000 0.3985 (multiplicity 6)

Peak list (12 most intense, 5 to 70 degrees two-theta, low angle first)
hkl, 2θ (°), d_spacing, I_rel
0 0 3, 5.14, 17.199, 5
0 0 6, 10.29, 8.600, 1
0 1 5, 25.93, 3.437, 15
1 0 10, 30.02, 2.976, 100
1 0 13, 33.38, 2.684, 2
1 1 0, 42.98, 2.105, 73
0 1 23, 47.60, 1.910, 2
2 0 5, 50.88, 1.795, 7
0 2 10, 53.31, 1.718, 25
2 0 20, 62.40, 1.488, 12
2 0 23, 66.06, 1.414, 1
1 2 5, 68.75, 1.365, 3

# 2
This entry pairs a crystal structure of CeCd4Ga2 with its theoretical powder diffraction line list. Radiation: Cu Kα, 1.54184 Å. Structure: a DFT-relaxed cell (PBE, Alexandria).

Cell: 4.4244 15.9342 4.3929 Å, 90.00 90.00 90.00°
Space group Cmmm (No. 65)
Asymmetric unit:
1 Ce 0.0000 0.0000 0.0000 (multiplicity 2)
2 Cd 0.0000 0.1774 0.5000 (multiplicity 4)
3 Cd 0.0000 0.3172 0.0000 (multiplicity 4)
4 Ga 0.0000 0.4238 0.5000 (multiplicity 4)

Peak list (12 most intense, 5 to 70 degrees two-theta, low angle first)
hkl, 2θ (°), d_spacing, I_rel
0 4 1, 30.29, 2.951, 9
1 3 1, 33.33, 2.688, 100
0 6 0, 33.75, 2.656, 10
1 5 0, 34.69, 2.586, 6
1 5 1, 40.48, 2.228, 18
2 0 0, 40.79, 2.212, 22
0 0 2, 41.09, 2.196, 21
1 7 0, 44.77, 2.024, 7
2 0 2, 59.29, 1.559, 14
1 9 1, 60.10, 1.540, 8
3 3 1, 69.53, 1.352, 11
1 3 3, 69.96, 1.345, 16

# 3
This entry pairs a crystal structure of Ba3Ga2N4 with its theoretical powder diffraction line list. Radiation: Cu Kα, 1.54184 Å. Structure: a DFT-relaxed cell (PBE, Alexandria).

Cell: 12.1560 9.1896 6.0361 Å, 90.00 92.99 90.00°
Space group C2/c (No. 15)
Asymmetric unit:
1 Ba 0.0000 0.1068 0.2500 (multiplicity 4)
2 Ba 0.1282 0.3664 0.5761 (multiplicity 8)
3 Ga 0.2072 0.1185 0.9284 (multiplicity 8)
4 N 0.1343 0.3074 0.0256 (multiplicity 8)
5 N 0.1737 0.0659 0.6046 (multiplicity 8)

Peak list (12 most intense, 5 to 70 degrees two-theta, low angle first)
hkl, 2θ (°), d_spacing, I_rel
3 1 0, 24.03, 3.703, 15
0 2 1, 24.36, 3.654, 21
3 1 -1, 27.66, 3.225, 65
2 2 1, 28.92, 3.088, 100
1 1 -2, 31.75, 2.819, 40
2 0 2, 33.89, 2.645, 27
5 1 0, 38.35, 2.347, 26
0 4 0, 39.21, 2.298, 32
3 3 -1, 39.37, 2.289, 32
1 3 -2, 42.46, 2.129, 20
2 4 2, 52.79, 1.734, 12
4 2 3, 60.01, 1.542, 14

# 4
This entry pairs a crystal structure of CaLa2Rh9 with its theoretical powder diffraction line list. Radiation: Cu Kα, 1.54184 Å. Structure: a DFT-relaxed cell (PBE, Alexandria).

Cell: 5.3344 5.3344 26.6969 Å, 90.00 90.00 120.00°
Space group R-3m (No. 166, hexagonal axes)
Asymmetric unit:
1 Ca 0.0000 0.0000 0.0000 (multiplicity 3)
2 La 0.0000 0.0000 0.1373 (multiplicity 6)
3 Rh 0.0000 0.0000 0.3324 (multiplicity 6)
4 Rh 0.0000 0.0000 0.5000 (multiplicity 3)
5 Rh 0.0017 0.5008 0.0806 (multiplicity 18)

Peak list (12 most intense, 5 to 70 degrees two-theta, low angle first)
hkl, 2θ (°), d_spacing, I_rel
1 0 1, 19.50, 4.552, 21
1 0 7, 30.39, 2.941, 19
0 1 8, 33.12, 2.705, 25
1 1 0, 33.60, 2.667, 29
0 2 1, 39.14, 2.301, 34
1 1 6, 39.39, 2.288, 100
0 0 12, 40.55, 2.225, 21
0 2 4, 41.36, 2.183, 22
0 1 11, 42.05, 2.149, 33
2 0 5, 42.65, 2.120, 53
0 3 6, 63.98, 1.455, 23
1 2 11, 65.90, 1.417, 17

# 5
This entry pairs a crystal structure of Zr12Tl3Pd with its theoretical powder diffraction line list. Radiation: Cu Kα, 1.54184 Å. Structure: a DFT-relaxed cell (PBE, Alexandria).

Cell: 4.4621 4.4621 17.7537 Å, 90.00 90.00 90.00°
Space group P4/mmm (No. 123)
Asymmetric unit:
1 Zr 0.0000 0.0000 0.0000 (multiplicity 1)
2 Zr 0.0000 0.0000 0.2449 (multiplicity 2)
3 Zr 0.0000 0.0000 0.5000 (multiplicity 1)
4 Zr 0.0000 0.5000 0.1181 (multiplicity 4)
5 Zr 0.0000 0.5000 0.3735 (multiplicity 4)
6 Tl 0.5000 0.5000 0.2452 (multiplicity 2)
7 Tl 0.5000 0.5000 0.5000 (multiplicity 1)
8 Pd 0.5000 0.5000 0.0000 (multiplicity 1)

Peak list (12 most intense, 5 to 70 degrees two-theta, low angle first)
hkl, 2θ (°), d_spacing, I_rel
1 0 0, 19.90, 4.462, 6
0 0 4, 20.01, 4.438, 3
1 1 0, 28.34, 3.150, 8
1 1 4, 34.89, 2.572, 100
2 0 0, 40.43, 2.231, 34
0 0 8, 40.65, 2.219, 16
2 0 4, 45.48, 1.994, 3
1 0 8, 45.67, 1.987, 2
2 1 4, 50.12, 1.820, 3
2 2 0, 58.51, 1.578, 11
2 0 8, 58.68, 1.573, 21
3 1 4, 69.96, 1.345, 26

# 6
This entry pairs a crystal structure of Pr6Ho2In with its theoretical powder diffraction line list. Radiation: Cu Kα, 1.54184 Å. Structure: a DFT-relaxed cell (PBE, Alexandria).

Cell: 21.0805 9.3238 6.4190 Å, 90.00 107.67 90.00°
Space group C2/c (No. 15)
Asymmetric unit:
1 Pr 0.0791 0.0714 0.4408 (multiplicity 8)
2 Pr 0.0792 0.4277 0.2193 (multiplicity 8)
3 Pr 0.1688 0.2503 0.9191 (multiplicity 8)
4 Ho 0.2499 0.0771 0.4203 (multiplicity 8)
5 In 0.0000 0.2509 0.7500 (multiplicity 4)

Peak list (12 most intense, 5 to 70 degrees two-theta, low angle first)
hkl, 2θ (°), d_spacing, I_rel
2 2 1, 27.13, 3.286, 42
2 0 -2, 27.80, 3.209, 27
5 1 1, 31.63, 2.828, 87
1 3 -1, 31.99, 2.797, 100
1 1 2, 32.39, 2.764, 87
6 2 0, 32.94, 2.719, 65
3 1 -3, 43.43, 2.083, 27
4 2 2, 43.63, 2.075, 22
0 2 3, 48.76, 1.867, 22
7 1 2, 50.78, 1.798, 24
5 5 1, 58.45, 1.579, 25
11 3 1, 64.92, 1.436, 25

# 7
This entry pairs a crystal structure of Zn3AgAu7 with its theoretical powder diffraction line list. Radiation: Cu Kα, 1.54184 Å. Structure: a DFT-relaxed cell (PBE, Alexandria).

Cell: 8.3913 9.6131 5.5532 Å, 90.00 112.89 90.00°
Space group C2/m (No. 12)
Asymmetric unit:
1 Zn 0.0000 0.0000 0.0000 (multiplicity 2)
2 Zn 0.0000 0.2311 0.5000 (multiplicity 4)
3 Ag 0.0000 0.5000 0.0000 (multiplicity 2)
4 Au 0.0000 0.5000 0.5000 (multiplicity 2)
5 Au 0.1746 0.2351 0.1836 (multiplicity 8)
6 Au 0.1793 0.0000 0.5345 (multiplicity 4)

Peak list (12 most intense, 5 to 70 degrees two-theta, low angle first)
hkl, 2θ (°), d_spacing, I_rel
2 0 -1, 22.81, 3.898, 23
0 2 1, 25.43, 3.503, 65
2 2 0, 29.66, 3.012, 27
2 0 -2, 33.65, 2.663, 98
3 1 0, 36.09, 2.489, 38
0 4 0, 37.42, 2.403, 100
2 2 -2, 38.66, 2.329, 27
2 2 1, 39.03, 2.308, 94
0 2 2, 39.93, 2.258, 99
4 0 -1, 43.12, 2.098, 42
4 2 -1, 47.28, 1.923, 43
2 4 -2, 51.21, 1.784, 39

# 8
This entry pairs a crystal structure of BaPu4S6 with its theoretical powder diffraction line list. Radiation: Cu Kα, 1.54184 Å. Structure: a DFT-relaxed cell (PBE, Alexandria).

Cell: 4.0507 13.2486 20.5586 Å, 90.00 90.00 90.00°
Space group Cmcm (No. 63)
Asymmetric unit:
1 Ba 0.0000 0.1583 0.2500 (multiplicity 4)
2 Pu 0.0000 0.0972 0.6272 (multiplicity 8)
3 Pu 0.0000 0.3645 0.5403 (multiplicity 8)
4 S 0.0000 0.0000 0.0000 (multiplicity 4)
5 S 0.0000 0.1649 0.7500 (multiplicity 4)
6 S 0.0000 0.2678 0.0826 (multiplicity 8)
7 S 0.0000 0.4643 0.6571 (multiplicity 8)

Peak list (12 most intense, 5 to 70 degrees two-theta, low angle first)
hkl, 2θ (°), d_spacing, I_rel
0 0 2, 8.60, 10.279, 58
1 1 2, 24.56, 3.625, 31
0 2 5, 25.50, 3.493, 100
1 1 3, 26.43, 3.372, 52
0 4 0, 26.92, 3.312, 39
1 3 1, 30.25, 2.954, 36
1 3 2, 31.20, 2.867, 58
1 3 3, 32.72, 2.737, 52
0 2 7, 33.37, 2.685, 33
1 1 8, 42.20, 2.141, 33
1 5 4, 44.50, 2.036, 32
2 2 5, 52.21, 1.752, 30

# 9
This entry pairs a crystal structure of Pm2PrTh3Se6 with its theoretical powder diffraction line list. Radiation: Cu Kα, 1.54184 Å. Structure: a DFT-relaxed cell (PBE, Alexandria).

Cell: 7.3023 12.4159 7.3681 Å, 90.00 108.56 90.00°
Space group C2/m (No. 12)
Asymmetric unit:
1 Pm 0.0000 0.1673 0.0000 (multiplicity 4)
2 Pr 0.0000 0.5000 0.0000 (multiplicity 2)
3 Th 0.0000 0.0000 0.5000 (multiplicity 2)
4 Th 0.0000 0.3363 0.5000 (multiplicity 4)
5 Se 0.2441 0.0000 0.2451 (multiplicity 4)
6 Se 0.2482 0.1686 0.7507 (multiplicity 8)

Peak list (12 most intense, 5 to 70 degrees two-theta, low angle first)
hkl, 2θ (°), d_spacing, I_rel
0 0 2, 25.50, 3.492, 8
2 0 0, 25.74, 3.461, 8
1 3 -1, 26.22, 3.399, 14
1 3 1, 30.02, 2.976, 100
2 0 2, 42.21, 2.141, 13
1 3 -3, 42.82, 2.112, 25
3 3 -1, 43.12, 2.098, 25
0 6 0, 43.75, 2.069, 12
0 0 4, 52.40, 1.746, 7
4 0 0, 52.91, 1.731, 7
2 6 -2, 53.96, 1.699, 13
4 0 -4, 62.40, 1.488, 13

# 10
This entry pairs a crystal structure of Ba3As with its theoretical powder diffraction line list. Radiation: Cu Kα, 1.54184 Å. Structure: a DFT-relaxed cell (PBE, Alexandria).

Cell: 4.6520 4.6520 11.7637 Å, 90.00 90.00 120.00°
Space group P-6m2 (No. 187)
Asymmetric unit:
1 Ba 0.0000 0.0000 0.0000 (multiplicity 1)
2 Ba 0.6667 0.3333 0.3420 (multiplicity 2)
3 As 0.0000 0.0000 0.5000 (multiplicity 1)

Peak list (12 most intense, 5 to 70 degrees two-theta, low angle first)
hkl, 2θ (°), d_spacing, I_rel
0 0 1, 7.52, 11.764, 31
1 0 0, 22.06, 4.029, 61
0 0 3, 22.68, 3.921, 32
1 0 1, 23.34, 3.811, 57
1 0 2, 26.82, 3.324, 100
1 0 3, 31.85, 2.810, 47
1 0 4, 37.88, 2.375, 58
1 1 0, 38.71, 2.326, 54
1 1 3, 45.33, 2.001, 30
2 0 2, 47.72, 1.906, 20
1 1 6, 61.90, 1.499, 25
2 1 4, 69.52, 1.352, 19

# 11
This entry pairs a crystal structure of MnAlSN2 with its theoretical powder diffraction line list. Radiation: Cu Kα, 1.54184 Å. Structure: a DFT-relaxed cell (PBE, Alexandria).

Cell: 3.5818 3.5818 4.9870 Å, 90.00 90.00 90.00°
Space group P4/mmm (No. 123)
Asymmetric unit:
1 Mn 0.0000 0.0000 0.0000 (multiplicity 1)
2 Al 0.5000 0.5000 0.5000 (multiplicity 1)
3 S 0.0000 0.0000 0.5000 (multiplicity 1)
4 N 0.0000 0.5000 0.0000 (multiplicity 2)

Peak list (12 most intense, 5 to 70 degrees two-theta, low angle first)
hkl, 2θ (°), d_spacing, I_rel
0 0 1, 17.79, 4.987, 16
1 0 0, 24.86, 3.582, 100
1 0 1, 30.73, 2.909, 71
1 1 0, 35.44, 2.533, 76
0 0 2, 36.02, 2.494, 93
1 0 2, 44.26, 2.046, 37
2 0 0, 50.99, 1.791, 61
1 1 2, 51.43, 1.777, 52
2 1 0, 57.54, 1.602, 15
2 1 1, 60.73, 1.525, 19
2 0 2, 64.01, 1.455, 57
2 1 2, 69.78, 1.348, 16

# 12
This entry pairs a crystal structure of CeSbPb with its theoretical powder diffraction line list. Radiation: Cu Kα, 1.54184 Å. Structure: a DFT-relaxed cell (PBE, Alexandria).

Cell: 4.4583 17.0291 4.5564 Å, 90.00 90.00 90.00°
Space group Cmcm (No. 63)
Asymmetric unit:
1 Ce 0.0000 0.0940 0.2500 (multiplicity 4)
2 Sb 0.0000 0.4278 0.2500 (multiplicity 4)
3 Pb 0.0000 0.2479 0.7500 (multiplicity 4)

Peak list (12 most intense, 5 to 70 degrees two-theta, low angle first)
hkl, 2θ (°), d_spacing, I_rel
0 2 0, 10.39, 8.515, 8
0 6 0, 31.52, 2.838, 25
1 3 1, 32.21, 2.779, 100
0 0 2, 39.56, 2.278, 15
2 0 0, 40.47, 2.229, 14
0 6 2, 51.43, 1.777, 13
2 6 0, 52.18, 1.753, 12
1 9 1, 56.57, 1.627, 17
2 0 2, 57.87, 1.593, 10
1 3 3, 67.17, 1.394, 13
2 6 2, 67.40, 1.389, 11
3 3 1, 68.43, 1.371, 12